[1]
For Hf4InBi2, a PBE-relaxed structure gives the theoretical powder diffractogram in this record (Cu Kα).
Kinematic intensities with the Lorentz-polarization factor, no thermal factor.

Structure:
Lattice parameters (Å, degrees): 7.564 7.564 7.564 109.61 109.61 109.20
Atoms (fractional coordinates):
Hf1 0.116 0.213 0.748
Hf2 0.119 0.715 0.752
Hf3 0.285 0.037 0.403
Hf4 0.465 0.369 0.252
Hf5 0.631 0.884 0.097
Hf6 0.634 0.881 0.597
Hf7 0.787 0.535 0.903
Hf8 0.963 0.366 0.248
In1 0.000 0.000 0.000
In2 0.750 0.250 0.500
Bi1 0.254 0.625 0.129
Bi2 0.375 0.504 0.629
Bi3 0.496 0.125 0.871
Bi4 0.875 0.746 0.371

Main lines, by angle (2θ = 10–90°):
32.32 deg, intensity 43; 32.47 deg, intensity 100; 38.53 deg, intensity 80; 38.62 deg, intensity 36; 51.29 deg, intensity 19; 66.02 deg, intensity 27

---

[2]
For HfInBi, a PBE-relaxed structure gives the theoretical powder diffractogram in this record (Cu Kα).
Kinematic intensities with the Lorentz-polarization factor, no thermal factor.

Structure:
Lattice parameters (Å, degrees): 13.467 4.003 8.766 90.00 90.00 90.00
Atoms (fractional coordinates):
Hf1 0.097 0.000 0.095
Hf2 0.250 0.500 0.590
Hf3 0.403 0.000 0.095
Hf4 0.597 0.000 0.905
Hf5 0.750 0.500 0.410
Hf6 0.903 0.000 0.905
In1 0.106 0.000 0.457
In2 0.250 0.000 0.844
In3 0.394 0.000 0.457
In4 0.606 0.000 0.543
In5 0.750 0.000 0.156
In6 0.894 0.000 0.543
Bi1 0.063 0.500 0.804
Bi2 0.250 0.500 0.223
Bi3 0.437 0.500 0.804
Bi4 0.563 0.500 0.196
Bi5 0.750 0.500 0.777
Bi6 0.937 0.500 0.196

Main lines, by angle (2θ = 10–90°):
30.24 deg, intensity 45; 31.64 deg, intensity 100; 34.82 deg, intensity 38; 36.39 deg, intensity 67; 36.70 deg, intensity 57; 45.32 deg, intensity 32

---

[3]
For K6HfBi4, a PBE-relaxed structure gives the theoretical powder diffractogram in this record (Cu Kα).
Kinematic intensities with the Lorentz-polarization factor, no thermal factor.

Structure:
Lattice parameters (Å, degrees): 11.465 11.465 8.839 90.00 90.00 120.00
Atoms (fractional coordinates):
K1 0.057 0.529 0.000
K2 0.143 0.285 0.685
K3 0.143 0.857 0.685
K4 0.285 0.143 0.185
K5 0.471 0.529 0.000
K6 0.471 0.943 0.000
K7 0.529 0.057 0.500
K8 0.529 0.471 0.500
K9 0.715 0.857 0.685
K10 0.857 0.143 0.185
K11 0.857 0.715 0.185
K12 0.943 0.471 0.500
Hf1 0.333 0.667 0.380
Hf2 0.667 0.333 0.880
Bi1 0.195 0.389 0.289
Bi2 0.195 0.805 0.289
Bi3 0.333 0.667 0.703
Bi4 0.389 0.195 0.789
Bi5 0.611 0.805 0.289
Bi6 0.667 0.333 0.203
Bi7 0.805 0.195 0.789
Bi8 0.805 0.611 0.789

Main lines, by angle (2θ = 10–90°):
13.41 deg, intensity 81; 17.87 deg, intensity 55; 20.52 deg, intensity 84; 27.01 deg, intensity 59; 28.80 deg, intensity 44; 31.22 deg, intensity 100

---

[4]
For K2HfBiO6, a PBE-relaxed structure gives the theoretical powder diffractogram in this record (Cu Kα).
Kinematic intensities with the Lorentz-polarization factor, no thermal factor.

Structure:
Lattice parameters (Å, degrees): 5.944 5.944 5.944 60.00 60.00 60.00
Atoms (fractional coordinates):
K1 0.250 0.250 0.250
K2 0.750 0.750 0.750
Hf1 0.000 0.000 0.000
Bi1 0.500 0.500 0.500
O1 0.247 0.247 0.753
O2 0.247 0.753 0.247
O3 0.247 0.753 0.753
O4 0.753 0.247 0.247
O5 0.753 0.247 0.753
O6 0.753 0.753 0.247

Main lines, by angle (2θ = 10–90°):
21.14 deg, intensity 71; 30.07 deg, intensity 100; 43.04 deg, intensity 32; 48.43 deg, intensity 33; 53.39 deg, intensity 41; 86.67 deg, intensity 22

---

[5]
For KHfZrBiO6, a PBE-relaxed structure gives the theoretical powder diffractogram in this record (Cu Kα).
Kinematic intensities with the Lorentz-polarization factor, no thermal factor.

Structure:
Lattice parameters (Å, degrees): 5.880 5.880 5.880 60.00 60.00 60.00
Atoms (fractional coordinates):
K1 0.000 0.000 0.000
Hf1 0.750 0.750 0.750
Zr1 0.250 0.250 0.250
Bi1 0.500 0.500 0.500
O1 0.502 0.502 0.998
O2 0.502 0.998 0.502
O3 0.502 0.998 0.998
O4 0.998 0.502 0.502
O5 0.998 0.502 0.998
O6 0.998 0.998 0.502

Main lines, by angle (2θ = 10–90°):
18.48 deg, intensity 31; 30.40 deg, intensity 100; 35.81 deg, intensity 19; 43.53 deg, intensity 30; 54.02 deg, intensity 41; 87.86 deg, intensity 22

---

[6]
For LaHfBi, a PBE-relaxed structure gives the theoretical powder diffractogram in this record (Cu Kα).
Kinematic intensities with the Lorentz-polarization factor, no thermal factor.

Structure:
Lattice parameters (Å, degrees): 4.484 4.484 8.697 90.00 90.00 90.00
Atoms (fractional coordinates):
La1 0.250 0.250 0.152
La2 0.750 0.750 0.848
Hf1 0.250 0.750 0.500
Hf2 0.750 0.250 0.500
Bi1 0.250 0.250 0.752
Bi2 0.750 0.750 0.248

Main lines, by angle (2θ = 10–90°):
10.17 deg, intensity 21; 30.00 deg, intensity 54; 35.03 deg, intensity 100; 36.92 deg, intensity 28; 40.23 deg, intensity 51; 69.77 deg, intensity 28

---

[7]
For LaHfBi3, a PBE-relaxed structure gives the theoretical powder diffractogram in this record (Cu Kα).
Kinematic intensities with the Lorentz-polarization factor, no thermal factor.

Structure:
Lattice parameters (Å, degrees): 13.974 6.711 6.555 90.00 90.00 90.00
Atoms (fractional coordinates):
La1 0.184 0.011 0.250
La2 0.184 0.489 0.750
La3 0.816 0.511 0.250
La4 0.816 0.989 0.750
Hf1 0.409 0.750 0.000
Hf2 0.409 0.750 0.500
Hf3 0.591 0.250 0.000
Hf4 0.591 0.250 0.500
Bi1 0.003 0.750 0.000
Bi2 0.003 0.750 0.500
Bi3 0.263 0.516 0.250
Bi4 0.263 0.984 0.750
Bi5 0.422 0.117 0.250
Bi6 0.422 0.383 0.750
Bi7 0.578 0.617 0.250
Bi8 0.578 0.883 0.750
Bi9 0.737 0.016 0.250
Bi10 0.737 0.484 0.750
Bi11 0.997 0.250 0.000
Bi12 0.997 0.250 0.500

Main lines, by angle (2θ = 10–90°):
26.98 deg, intensity 72; 29.53 deg, intensity 96; 30.12 deg, intensity 62; 31.98 deg, intensity 100; 36.08 deg, intensity 42; 38.39 deg, intensity 84

---

[8]
For La2HfBi5, a PBE-relaxed structure gives the theoretical powder diffractogram in this record (Cu Kα).
Kinematic intensities with the Lorentz-polarization factor, no thermal factor.

Structure:
Lattice parameters (Å, degrees): 6.811 6.845 6.860 118.84 108.39 101.20
Atoms (fractional coordinates):
La1 0.000 0.000 0.000
La2 0.498 0.498 0.000
Hf1 0.494 0.994 0.500
Bi1 0.003 0.503 0.500
Bi2 0.501 0.000 0.003
Bi3 0.501 0.498 0.501
Bi4 0.997 0.000 0.499
Bi5 0.997 0.498 0.997

Main lines, by angle (2θ = 10–90°):
30.41 deg, intensity 100; 32.87 deg, intensity 41; 33.09 deg, intensity 40; 33.93 deg, intensity 38; 34.31 deg, intensity 37; 41.68 deg, intensity 22

---

[9]
For Hf3MgBi4, a PBE-relaxed structure gives the theoretical powder diffractogram in this record (Cu Kα).
Kinematic intensities with the Lorentz-polarization factor, no thermal factor.

Structure:
Lattice parameters (Å, degrees): 8.706 9.934 5.707 90.00 90.00 90.00
Atoms (fractional coordinates):
Hf1 0.000 0.185 0.000
Hf2 0.205 0.297 0.449
Hf3 0.295 0.703 0.949
Hf4 0.500 0.815 0.500
Hf5 0.705 0.703 0.949
Hf6 0.795 0.297 0.449
Mg1 0.000 0.761 0.507
Mg2 0.500 0.239 0.007
Bi1 0.000 0.067 0.501
Bi2 0.000 0.862 0.999
Bi3 0.224 0.399 0.946
Bi4 0.276 0.601 0.446
Bi5 0.500 0.138 0.499
Bi6 0.500 0.933 0.001
Bi7 0.724 0.601 0.446
Bi8 0.776 0.399 0.946

Main lines, by angle (2θ = 10–90°):
22.30 deg, intensity 100; 31.35 deg, intensity 58; 32.92 deg, intensity 25; 37.59 deg, intensity 75; 38.81 deg, intensity 44; 39.58 deg, intensity 28

---

[10]
For HfMg14Bi, a PBE-relaxed structure gives the theoretical powder diffractogram in this record (Cu Kα).
Kinematic intensities with the Lorentz-polarization factor, no thermal factor.

Structure:
Lattice parameters (Å, degrees): 10.494 6.423 6.423 58.60 90.00 90.00
Atoms (fractional coordinates):
Hf1 0.000 0.000 0.000
Mg1 0.000 0.003 0.499
Mg2 0.000 0.499 0.003
Mg3 0.248 0.162 0.162
Mg4 0.252 0.158 0.671
Mg5 0.252 0.671 0.158
Mg6 0.256 0.669 0.669
Mg7 0.500 0.003 0.003
Mg8 0.500 0.004 0.501
Mg9 0.500 0.501 0.004
Mg10 0.500 0.502 0.502
Mg11 0.744 0.669 0.669
Mg12 0.748 0.158 0.671
Mg13 0.748 0.671 0.158
Mg14 0.752 0.162 0.162
Bi1 0.000 0.503 0.503

Main lines, by angle (2θ = 10–90°):
15.82 deg, intensity 48; 16.90 deg, intensity 42; 17.95 deg, intensity 74; 23.23 deg, intensity 41; 36.36 deg, intensity 55; 37.00 deg, intensity 100

---

[11]
For HfMg14Bi, a PBE-relaxed structure gives the theoretical powder diffractogram in this record (Cu Kα).
Kinematic intensities with the Lorentz-polarization factor, no thermal factor.

Structure:
Lattice parameters (Å, degrees): 6.433 6.433 10.341 90.00 90.00 120.00
Atoms (fractional coordinates):
Hf1 0.000 0.000 0.000
Mg1 0.006 0.503 0.000
Mg2 0.164 0.328 0.244
Mg3 0.164 0.328 0.756
Mg4 0.164 0.836 0.244
Mg5 0.164 0.836 0.756
Mg6 0.497 0.503 0.000
Mg7 0.497 0.994 0.000
Mg8 0.501 0.002 0.500
Mg9 0.501 0.499 0.500
Mg10 0.667 0.333 0.245
Mg11 0.667 0.333 0.755
Mg12 0.672 0.836 0.244
Mg13 0.672 0.836 0.756
Mg14 0.998 0.499 0.500
Bi1 0.000 0.000 0.500

Main lines, by angle (2θ = 10–90°):
15.91 deg, intensity 94; 23.47 deg, intensity 74; 32.13 deg, intensity 36; 32.79 deg, intensity 33; 36.64 deg, intensity 100; 46.57 deg, intensity 27

---

[12]
For Hf6MnBi, a PBE-relaxed structure gives the theoretical powder diffractogram in this record (Cu Kα).
Kinematic intensities with the Lorentz-polarization factor, no thermal factor.

Structure:
Lattice parameters (Å, degrees): 5.894 5.894 5.894 103.81 103.81 103.81
Atoms (fractional coordinates):
Hf1 0.219 0.219 0.630
Hf2 0.219 0.630 0.219
Hf3 0.370 0.781 0.781
Hf4 0.630 0.219 0.219
Hf5 0.781 0.370 0.781
Hf6 0.781 0.781 0.370
Mn1 0.500 0.500 0.500
Bi1 0.000 0.000 0.000

Main lines, by angle (2θ = 10–90°):
31.87 deg, intensity 100; 36.53 deg, intensity 30; 38.39 deg, intensity 82; 38.83 deg, intensity 53; 54.37 deg, intensity 27; 58.82 deg, intensity 27